NpBeH4: simulated XRD peak list (Cu Kα (weighted mean of Kα1 and Kα2)), based on a cell relaxed with GGA-PBE.
Kinematic intensities with the Lorentz-polarization factor, no thermal factor.

Cell and atoms:
```
data_NpBeH4
_symmetry_space_group_name_H-M 'P m n 21'
_symmetry_Int_Tables_number 31
_cell_length_a 6.1451
_cell_length_b 3.8576
_cell_length_c 4.4755
_cell_angle_alpha 90.00
_cell_angle_beta 90.00
_cell_angle_gamma 90.00
loop_
_symmetry_equiv_pos_as_xyz
'x,y,z'
'-x+1/2,-y,z+1/2'
'-x,y,z'
'x+1/2,-y,z+1/2'
loop_
_atom_site_label
_atom_site_fract_x
_atom_site_fract_y
_atom_site_fract_z
Np1 0.0000 0.2444 0.0000
Be1 0.0000 0.7894 0.5277
H1 0.0000 0.1752 0.5049
H2 0.0000 0.7342 0.2176
H3 0.1740 0.7251 0.7494
```

Main lines, in order of rising 2θ (2θ = 10–80°):
- (1 0 1), 24.6°, intensity 100
- (1 1 0), 27.3°, intensity 78
- (2 0 0), 29.1°, intensity 38
- (0 1 1), 30.6°, intensity 65
- (2 1 1), 42.7°, intensity 54
- (1 1 2), 49.4°, intensity 34

***

NpBeZnH6: simulated XRD peak list (Cu Kα (weighted mean of Kα1 and Kα2)), based on a cell relaxed with GGA-PBE.
Kinematic intensities with the Lorentz-polarization factor, no thermal factor.

Cell and atoms:
```
data_NpBeZnH6
_symmetry_space_group_name_H-M 'P -6 m 2'
_symmetry_Int_Tables_number 187
_symmetry_space_group_name_Hall 'P -6 2'
_cell_length_a 4.2016
_cell_length_b 4.2016
_cell_length_c 4.4169
_cell_angle_alpha 90.00
_cell_angle_beta 90.00
_cell_angle_gamma 120.00
loop_
_atom_site_label
_atom_site_fract_x
_atom_site_fract_y
_atom_site_fract_z
Np1 0.0000 0.0000 0.0000
Be1 0.3333 0.6667 0.5000
Zn1 0.6667 0.3333 0.5000
H1 0.0262 0.5131 0.2165
```

Main lines, in order of rising 2θ (2θ = 10–80°):
- (1 0 0), 24.5°, intensity 49
- (1 0 1), 31.9°, intensity 100
- (1 1 0), 43.1°, intensity 27
- (2 0 1), 54.6°, intensity 23
- (1 1 2), 60.9°, intensity 20
- (2 1 1), 71.9°, intensity 20

***

BeHO2: simulated XRD peak list (Cu Kα (weighted mean of Kα1 and Kα2)), based on a cell relaxed with GGA-PBE.
Kinematic intensities with the Lorentz-polarization factor, no thermal factor.

Cell and atoms:
```
data_BeHO2
_symmetry_space_group_name_H-M 'I -4 2 d'
_symmetry_Int_Tables_number 122
_symmetry_space_group_name_Hall 'I -4 2bw'
_cell_length_a 3.6847
_cell_length_b 3.6847
_cell_length_c 7.5675
_cell_angle_alpha 90.00
_cell_angle_beta 90.00
_cell_angle_gamma 90.00
loop_
_atom_site_label
_atom_site_fract_x
_atom_site_fract_y
_atom_site_fract_z
Be1 0.0000 0.0000 0.0000
H1 0.0000 0.0000 0.5000
O1 0.2447 0.2500 0.6250
```

Main lines, in order of rising 2θ (2θ = 10–80°):
- (1 0 1), 26.9°, intensity 3
- (1 1 2), 42.1°, intensity 100
- (0 0 4), 48.1°, intensity 9
- (2 0 0), 49.5°, intensity 15
- (2 0 4), 71.5°, intensity 19
- (2 2 0), 72.6°, intensity 9

***

Be2H6O: simulated XRD peak list (Cu Kα (weighted mean of Kα1 and Kα2)), based on a cell relaxed with GGA-PBE.
Kinematic intensities with the Lorentz-polarization factor, no thermal factor.

Cell and atoms:
```
data_Be2H6O
_symmetry_space_group_name_H-M 'F m -3 m'
_symmetry_Int_Tables_number 225
_symmetry_space_group_name_Hall '-F 4 2 3'
_cell_length_a 5.5787
_cell_length_b 5.5787
_cell_length_c 5.5787
_cell_angle_alpha 90.00
_cell_angle_beta 90.00
_cell_angle_gamma 90.00
loop_
_atom_site_label
_atom_site_fract_x
_atom_site_fract_y
_atom_site_fract_z
Be1 0.2500 0.2500 0.2500
H1 0.0000 0.0000 0.1719
O1 0.0000 0.0000 0.5000
```

Main lines, in order of rising 2θ (2θ = 10–80°):
- (1 1 1), 27.7°, intensity 63
- (2 0 0), 32.1°, intensity 16
- (2 2 0), 46.0°, intensity 100
- (3 1 1), 54.6°, intensity 34
- (4 0 0), 67.1°, intensity 16
- (3 3 1), 74.1°, intensity 13

***

BeH2SeO4: simulated XRD peak list (Cu Kα (weighted mean of Kα1 and Kα2)), based on a cell relaxed with GGA-PBE.
Kinematic intensities with the Lorentz-polarization factor, no thermal factor.

Cell and atoms:
```
data_BeH2SeO4
_symmetry_space_group_name_H-M 'P 21 21 21'
_symmetry_Int_Tables_number 19
_cell_length_a 5.8252
_cell_length_b 7.6129
_cell_length_c 7.8403
_cell_angle_alpha 90.00
_cell_angle_beta 90.00
_cell_angle_gamma 90.00
loop_
_symmetry_equiv_pos_as_xyz
'x,y,z'
'-x+1/2,-y,z+1/2'
'x+1/2,-y+1/2,-z'
'-x,y+1/2,-z+1/2'
loop_
_atom_site_label
_atom_site_fract_x
_atom_site_fract_y
_atom_site_fract_z
Be1 0.1186 0.2380 0.2283
H1 0.1373 0.5908 0.5565
H2 0.2131 0.5385 0.1767
Se1 0.2219 0.0879 0.5720
O1 0.0873 0.0881 0.0783
O2 0.1444 0.7615 0.2050
O3 0.2016 0.8309 0.8745
O4 0.2267 0.4150 0.1355
```

Main lines, in order of rising 2θ (2θ = 10–80°):
- (0 1 1), 16.2°, intensity 47
- (1 1 0), 19.2°, intensity 100
- (1 0 2), 27.4°, intensity 61
- (1 1 2), 29.9°, intensity 35
- (1 2 1), 30.3°, intensity 88
- (2 0 0), 30.7°, intensity 37

***

Be2H6Os: simulated XRD peak list (Cu Kα (weighted mean of Kα1 and Kα2)), based on a cell relaxed with GGA-PBE.
Kinematic intensities with the Lorentz-polarization factor, no thermal factor.

Cell and atoms:
```
data_Be2H6Os
_symmetry_space_group_name_H-M 'P 1 21/c 1'
_symmetry_Int_Tables_number 14
_cell_length_a 3.9823
_cell_length_b 5.0308
_cell_length_c 7.1115
_cell_angle_alpha 90.00
_cell_angle_beta 118.99
_cell_angle_gamma 90.00
loop_
_symmetry_equiv_pos_as_xyz
'x,y,z'
'-x,-y,-z'
'-x,y+1/2,-z+1/2'
'x,-y+1/2,z+1/2'
loop_
_atom_site_label
_atom_site_fract_x
_atom_site_fract_y
_atom_site_fract_z
Be1 0.1777 0.1911 0.1831
H1 0.1799 0.2440 0.4222
H2 0.2307 0.7178 0.9349
H3 0.4514 0.0050 0.7485
Os1 0.5000 0.0000 0.0000
```

Main lines, in order of rising 2θ (2θ = 10–80°):
- (0 1 1), 22.7°, intensity 100
- (1 0 0), 25.6°, intensity 35
- (1 0 -2), 27.7°, intensity 29
- (1 1 -1), 28.7°, intensity 79
- (1 1 1), 39.5°, intensity 24
- (2 0 -2), 45.8°, intensity 24